For LaNi, a crystal structure in Alexandria, relaxed with GGA-PBE gives the computed powder diffraction line list in this record (Cu Kα).

Main lines, by intensity (10° ≤ 2θ ≤ 90°):
two_theta, d [Å], Rel. int., hkl
34.20, 2.622, 100, 2 1 0
47.91, 1.899, 76, 2 1 2
30.49, 2.932, 75, 2 0 0
32.52, 2.753, 72, 0 0 2
26.92, 3.312, 70, 1 1 1
45.18, 2.007, 51, 2 0 2
75.20, 1.263, 31, 4 1 2
52.05, 1.757, 27, 3 1 1
65.66, 1.422, 23, 4 1 0
78.47, 1.219, 17, 2 1 4

Lattice parameters (Å, degrees): 5.863 5.863 5.507 90.00 90.00 90.00
Space group P4_2/mnm (No. 136)
Asymmetric unit:
La1 0.199 0.199 0.000
Ni1 0.156 0.156 0.500